Entry 1:
Simulated powder XRD pattern
Compound: Mg8Mn3O11
Radiation: copper Kα
Structure: a DFT-relaxed cell (GGA+U, Alexandria)
No peak broadening, texture or thermal motion is included.

Most intense lines, 10 to 80 degrees two-theta, in order of rising 2θ:
2θ/deg	intensity	h k l
13.0	19	0 0 4
34.3	6	0 2 0
36.3	19	0 0 11
36.3	19	1 1 3
42.0	50	1 -1 7
42.3	100	0 2 7
61.1	28	0 2 -15
61.2	43	1 -3 0
61.4	14	1 3 -1
73.4	8	2 0 -12
76.9	6	0 0 22
77.2	19	-2 2 8

Structure:
a b c (Å): 3.030 5.238 27.323
angles (deg): 91.97 92.94 90.22
Space group P1 (No. 1)
Asymmetric unit:
Mg: 0.000 0.000 0.000 x1
Mg: 0.040 0.682 0.090 x1
Mg: 0.119 0.046 0.272 x1
Mg: 0.166 0.728 0.362 x1
Mg: 0.253 0.094 0.543 x1
Mg: 0.295 0.776 0.633 x1
Mg: 0.335 0.458 0.723 x1
Mg: 0.378 0.143 0.813 x1
Mg: 0.496 0.499 0.000 x1
Mg: 0.540 0.183 0.090 x1
Mg: 0.620 0.546 0.272 x1
Mg: 0.666 0.228 0.362 x1
Mg: 0.753 0.593 0.543 x1
Mg: 0.795 0.276 0.633 x1
Mg: 0.836 0.959 0.723 x1
Mg: 0.875 0.642 0.813 x1
Mn: 0.079 0.364 0.181 x1
Mn: 0.210 0.411 0.452 x1
Mn: 0.437 0.821 0.907 x1
Mn: 0.579 0.864 0.181 x1
Mn: 0.710 0.911 0.452 x1
Mn: 0.937 0.321 0.907 x1
O: 0.020 0.340 0.045 x1
O: 0.060 0.023 0.134 x1
O: 0.099 0.705 0.227 x1
O: 0.142 0.387 0.316 x1
O: 0.187 0.070 0.405 x1
O: 0.232 0.752 0.499 x1
O: 0.274 0.435 0.588 x1
O: 0.315 0.117 0.678 x1
O: 0.357 0.800 0.768 x1
O: 0.385 0.480 0.857 x1
O: 0.490 0.161 0.956 x1
O: 0.518 0.841 0.045 x1
O: 0.561 0.523 0.133 x1
O: 0.598 0.206 0.228 x1
O: 0.642 0.887 0.316 x1
O: 0.687 0.569 0.405 x1
O: 0.732 0.253 0.500 x1
O: 0.774 0.935 0.588 x1
O: 0.815 0.617 0.678 x1
O: 0.855 0.300 0.768 x1
O: 0.905 0.987 0.857 x1
O: 0.970 0.654 0.956 x1

---

Entry 2:
Simulated powder XRD pattern
Compound: MgMn4O9
Radiation: copper Kα
Structure: a DFT-relaxed cell (GGA+U, Alexandria)
No peak broadening, texture or thermal motion is included.

Most intense lines, 10 to 80 degrees two-theta, in order of rising 2θ:
2θ/deg	intensity	h k l
21.5	4	1 0 1
23.4	8	2 0 0
32.0	100	2 1 1
36.5	3	0 0 2
37.4	7	1 3 0
53.3	46	1 3 2
53.9	20	4 2 0
62.9	11	2 1 3
64.1	21	5 0 1
66.9	4	4 2 2
77.6	3	0 0 4
79.8	5	2 6 0

Structure:
a b c (Å): 7.602 7.602 4.921
angles (deg): 90.00 90.00 90.00
Space group P4/n (No. 85, origin choice 2)
Asymmetric unit:
Mg: 0.250 0.250 0.212 x2
Mn: 0.046 0.638 0.264 x8
O: 0.008 0.168 0.980 x8
O: 0.047 0.155 0.488 x8
O: 0.250 0.750 0.500 x2

---

Entry 3:
Simulated powder XRD pattern
Compound: MgMnP2O6
Radiation: copper Kα
Structure: a DFT-relaxed cell (GGA+U, Alexandria)
No peak broadening, texture or thermal motion is included.

Most intense lines, 10 to 80 degrees two-theta, in order of rising 2θ:
2θ/deg	intensity	h k l
16.5	11	0 0 3
21.1	6	1 0 1
30.2	100	1 0 4
35.6	26	1 1 0
39.5	40	1 1 3
44.5	8	1 0 7
47.4	16	0 2 4
49.6	13	2 -1 6
49.9	16	0 1 8
60.7	17	2 1 4
64.0	20	3 0 0
74.3	7	1 2 8

Structure:
a b c (Å): 5.0395 5.0395 16.1115
angles (deg): 90.00 90.00 120.00
Space group R-3 (No. 148, hexagonal axes)
Asymmetric unit:
Mg: 0.0000 0.0000 0.0000 x3
Mn: 0.0000 0.0000 0.5000 x3
P: 0.0000 0.0000 0.2304 x6
O: 0.0003 0.2988 0.7437 x18

---

Entry 4:
Simulated powder XRD pattern
Compound: SrMgMnP2O8
Radiation: copper Kα
Structure: a DFT-relaxed cell (GGA+U, Alexandria)
No peak broadening, texture or thermal motion is included.

Most intense lines, 10 to 80 degrees two-theta, in order of rising 2θ:
2θ/deg	intensity	h k l
22.3	21	-1 1 1
27.5	100	0 2 -2
29.2	19	-1 1 2
30.2	52	1 1 1
31.4	37	1 0 -3
32.5	34	2 0 -1
33.3	31	-1 2 1
33.5	17	2 -1 0
38.8	19	0 1 -4
42.1	18	1 2 1
44.8	19	2 2 -2
46.0	20	1 3 -1

Structure:
a b c (Å): 5.563 6.998 9.490
angles (deg): 110.95 101.41 98.04
Space group P-1 (No. 2)
Asymmetric unit:
Sr: 0.249 0.197 0.450 x2
Mg: 0.495 0.386 0.157 x2
Mn: 0.132 0.836 0.059 x2
P: 0.116 0.580 0.271 x2
P: 0.338 0.023 0.802 x2
O: 0.113 0.947 0.860 x2
O: 0.136 0.426 0.108 x2
O: 0.152 0.473 0.707 x2
O: 0.176 0.806 0.280 x2
O: 0.242 0.007 0.635 x2
O: 0.325 0.544 0.388 x2
O: 0.464 0.119 0.195 x2
O: 0.486 0.249 0.925 x2

---

Entry 5:
Simulated powder XRD pattern
Compound: Mg2PaMnO6
Radiation: copper Kα
Structure: a DFT-relaxed cell (GGA+U, Alexandria)
No peak broadening, texture or thermal motion is included.

Most intense lines, 10 to 80 degrees two-theta, in order of rising 2θ:
2θ/deg	intensity	h k l
18.4	38	0 0 1
19.6	31	1 0 0
20.0	32	0 1 1
20.5	30	1 1 0
21.8	56	0 1 0
23.2	100	1 1 1
30.4	42	1 0 1
31.6	34	1 1 -1
32.0	32	0 1 2
32.4	32	-1 1 1
33.5	26	1 2 1
33.9	25	2 1 0

Structure:
a b c (Å): 5.288 5.365 5.620
angles (deg): 62.57 89.54 62.64
Space group P1 (No. 1)
Asymmetric unit:
Mg: 0.000 0.000 0.000 x1
Mg: 0.477 0.014 0.504 x1
Pa: 0.773 0.441 0.371 x1
Mn: 0.283 0.421 0.887 x1
O: 0.094 0.227 0.164 x1
O: 0.180 0.250 0.681 x1
O: 0.363 0.541 0.151 x1
O: 0.540 0.553 0.672 x1
O: 0.697 0.919 0.195 x1
O: 0.855 0.965 0.667 x1

---

Entry 6:
Simulated powder XRD pattern
Compound: Y2MgMn2S2O5
Radiation: copper Kα
Structure: a DFT-relaxed cell (GGA+U, Alexandria)
No peak broadening, texture or thermal motion is included.

Most intense lines, 10 to 80 degrees two-theta, in order of rising 2θ:
2θ/deg	intensity	h k l
15.7	68	0 0 2
25.6	64	1 1 1
26.0	29	1 1 -2
30.0	24	1 1 2
32.5	72	2 0 -1
32.7	91	0 2 0
35.7	52	1 1 3
36.6	94	1 1 -4
40.7	38	0 2 3
42.3	66	1 1 4
43.3	28	1 1 -5
46.8	100	2 2 -1

Structure:
a b c (Å): 5.516 5.472 11.572
angles (deg): 90.00 101.89 90.00
Space group Cm (No. 8)
Asymmetric unit:
Y: 0.000 0.000 0.000 x2
Y: 0.151 0.500 0.346 x2
Mg: 0.440 0.000 0.842 x2
Mn: 0.220 0.000 0.499 x2
Mn: 0.452 0.500 0.729 x2
S: 0.041 0.500 0.092 x2
S: 0.118 0.000 0.269 x2
O: 0.191 0.246 0.866 x4
O: 0.275 0.000 0.664 x2
O: 0.454 0.251 0.471 x4

---

Entry 7:
Simulated powder XRD pattern
Compound: Y2MgMn2S2O5
Radiation: copper Kα
Structure: a DFT-relaxed cell (GGA+U, Alexandria)
No peak broadening, texture or thermal motion is included.

Most intense lines, 10 to 80 degrees two-theta, in order of rising 2θ:
2θ/deg	intensity	h k l
12.6	90	0 0 4
25.1	45	1 0 3
28.2	24	1 0 5
32.4	100	1 0 7
33.1	42	1 1 0
35.5	17	1 1 4
37.2	15	1 0 9
42.6	25	1 0 11
47.5	38	2 0 0
57.2	13	1 1 14
58.6	34	2 1 7
63.2	15	1 1 16

Structure:
a b c (Å): 3.829 3.829 28.024
angles (deg): 90.00 90.00 90.00
Space group I-4m2 (No. 119)
Asymmetric unit:
Y: 0.000 0.000 0.133 x4
Mg: 0.000 0.500 0.750 x2
Mn: 0.000 0.000 0.434 x4
S: 0.000 0.000 0.307 x4
O: 0.000 0.000 0.500 x2
O: 0.000 0.500 0.091 x4
O: 0.000 0.500 0.593 x4

---

Entry 8:
Simulated powder XRD pattern
Compound: Y2MgMn2S2O5
Radiation: copper Kα
Structure: a DFT-relaxed cell (GGA+U, Alexandria)
No peak broadening, texture or thermal motion is included.

Most intense lines, 10 to 80 degrees two-theta, in order of rising 2θ:
2θ/deg	intensity	h k l
15.8	84	0 0 4
25.4	72	1 0 3
30.1	30	0 1 5
31.9	92	1 1 0
32.9	33	1 1 2
36.0	79	0 1 7
40.2	24	0 0 10
42.8	80	1 0 9
45.8	100	2 0 0
59.6	34	2 1 7
64.5	44	1 2 9
66.8	31	2 2 0

Structure:
a b c (Å): 3.962 3.965 22.464
angles (deg): 90.00 90.00 90.00
Space group Immm (No. 71)
Asymmetric unit:
Y: 0.000 0.000 0.164 x4
Mg: 0.000 0.500 0.500 x2
Mn: 0.000 0.000 0.408 x4
S: 0.000 0.000 0.295 x4
O: 0.000 0.000 0.500 x2
O: 0.000 0.500 0.106 x4
O: 0.000 0.500 0.408 x4